# 1
# Li3NdAu3
Computed powder diffractogram, copper Kα. Input: a GGA-PBE-relaxed structure.

Main lines, low angle first (5° ≤ 2θ ≤ 70°):
2θ 12.10, I 87
2θ 28.65, I 74
2θ 31.20, I 22
2θ 32.39, I 34
2θ 37.94, I 100
2θ 39.01, I 25
2θ 51.58, I 19
2θ 54.72, I 23

Crystal structure
```
14
Lattice="8.440 0.000 0.000 0.000 4.618 0.000 -4.217 0.000 7.318" Properties=species:S:1:pos:R:3 pbc="T T T"
Li -1.040 1.154 1.917
Li -1.138 1.154 5.456
Li -0.069 3.463 3.720
Li 4.292 1.154 3.598
Li 5.361 3.463 1.862
Li 5.263 3.463 5.401
Nd 2.110 3.463 1.221
Nd 2.113 1.154 6.097
Au -3.388 1.154 6.863
Au 1.300 1.154 3.171
Au 0.021 3.463 6.373
Au 4.202 1.154 0.945
Au 2.923 3.463 4.147
Au 7.611 3.463 0.455
```

# 2
# Li6NdAu4
Computed powder diffractogram, copper Kα. Input: a GGA-PBE-relaxed structure.

Main lines, low angle first (5° ≤ 2θ ≤ 70°):
2θ 25.99, I 81
2θ 27.08, I 100
2θ 32.43, I 72
2θ 35.25, I 45
2θ 42.74, I 31
2θ 47.19, I 47
2θ 47.84, I 31
2θ 53.46, I 32

Crystal structure
```
11
Lattice="7.605 0.000 0.000 -3.803 6.586 0.000 0.000 0.000 4.014" Properties=species:S:1:pos:R:3 pbc="T T T"
Li 0.000 2.647 0.000
Li -1.510 5.263 0.000
Li 1.461 0.844 2.007
Li 1.510 5.263 0.000
Li 6.144 0.844 2.007
Li 3.803 4.899 2.007
Nd 3.803 2.195 0.000
Au 0.000 0.000 0.000
Au -1.616 3.458 2.007
Au 1.616 3.458 2.007
Au 0.000 6.257 2.007
```

# 3
# Li2NdAu3
Computed powder diffractogram, copper Kα. Input: a GGA-PBE-relaxed structure.

Main lines, low angle first (5° ≤ 2θ ≤ 70°):
2θ 22.68, I 10
2θ 23.66, I 55
2θ 30.46, I 25
2θ 35.43, I 100
2θ 39.82, I 70
2θ 41.05, I 17
2θ 54.35, I 30
2θ 69.46, I 29

Crystal structure
```
12
Lattice="4.527 0.000 0.000 -2.264 3.921 0.000 0.000 0.000 13.279" Properties=species:S:1:pos:R:3 pbc="T T T"
Li 0.000 2.614 0.908
Li 0.000 2.614 5.732
Li 2.264 1.307 7.547
Li 2.264 1.307 12.371
Nd 0.000 0.000 3.320
Nd 0.000 0.000 9.959
Au 0.000 0.000 0.000
Au 0.000 0.000 6.639
Au 0.000 2.614 8.334
Au 0.000 2.614 11.584
Au 2.264 1.307 1.695
Au 2.264 1.307 4.945
```